For Na2ErCrF8, the GGA+U geometry in Alexandria gives the computed X-ray diffraction stick pattern in this record (CuKα).
No peak broadening, texture or thermal motion is included.

Structure:
```
data_Na2ErCrF8
_chemical_formula_sum 'Na2 Er1 Cr1 F8'
_symmetry_space_group_name_H-M 'P 1'
_symmetry_Int_Tables_number 1
_symmetry_space_group_name_Hall 'P 1'
_cell_length_a 4.687
_cell_length_b 6.706
_cell_length_c 5.394
_cell_angle_alpha 90.00
_cell_angle_beta 91.66
_cell_angle_gamma 90.00
loop_
_atom_site_label
_atom_site_fract_x
_atom_site_fract_y
_atom_site_fract_z
Na1 0.000 0.237 0.000
Na2 0.000 0.763 0.000
Er1 0.500 0.500 0.500
Cr1 0.500 0.000 0.500
F1 0.173 0.500 0.224
F2 0.212 0.000 0.242
F3 0.322 0.228 0.675
F4 0.322 0.772 0.675
F5 0.678 0.228 0.325
F6 0.678 0.772 0.325
F7 0.788 0.000 0.758
F8 0.827 0.500 0.776
```

The 10 most intense peaks (10 to 80 degrees two-theta), low angle first:
Position (°2θ)	d (Å)	I (rel.)	(hkl)
13.20	6.706	34.2	0 1 0
16.44	5.392	100.0	0 0 1
18.94	4.685	57.3	1 0 0
24.81	3.588	85.6	1 0 -1
25.55	3.487	69.2	1 0 1
31.42	2.847	52.3	0 2 1
32.85	2.727	39.1	1 2 0
36.68	2.450	58.5	1 2 -1
47.00	1.933	40.3	1 2 -2
50.87	1.795	36.4	2 0 -2